This entry pairs a crystal structure of Li4Mn5FeP6O24 with its calculated X-ray powder pattern. Radiation: CuKα. Structure: DFT lattice parameters and positions (GGA+U).
Lines closer than 0.1° are merged.

The 8 most intense peaks (10° ≤ 2θ ≤ 90°), by intensity:
two_theta	I (rel.)
19.73	100
23.88	85
34.52	82
19.81	56
23.30	47
34.67	40
32.38	39
23.61	35

Structural model:
```
data_Li4Mn5FeP6O24
_chemical_formula_sum 'Li4 Mn5 Fe1 P6 O24'
_symmetry_space_group_name_H-M 'P 1'
_symmetry_Int_Tables_number 1
_symmetry_space_group_name_Hall 'P 1'
_cell_length_a 8.476
_cell_length_b 8.599
_cell_length_c 8.687
_cell_angle_alpha 62.48
_cell_angle_beta 63.39
_cell_angle_gamma 63.50
loop_
_atom_site_label
_atom_site_type_symbol
_atom_site_fract_x
_atom_site_fract_y
_atom_site_fract_z
Li1 Li 0.000 0.000 0.000
Li2 Li 0.091 0.892 0.504
Li3 Li 0.199 0.396 0.409
Li4 Li 0.613 0.590 0.800
Mn1 Mn 0.005 0.391 0.803
Mn2 Mn 0.362 0.741 0.136
Mn3 Mn 0.495 0.891 0.293
Mn4 Mn 0.697 0.094 0.496
Mn5 Mn 0.840 0.243 0.647
Fe1 Fe 0.197 0.587 0.993
P1 P 0.101 0.182 0.201
P2 P 0.284 0.986 0.698
P3 P 0.405 0.494 0.588
P4 P 0.594 0.290 0.096
P5 P 0.792 0.791 0.895
P6 P 0.907 0.694 0.392
O1 O 0.035 0.197 0.055
O2 O 0.091 0.137 0.732
O3 O 0.099 0.664 0.234
O4 O 0.167 0.345 0.148
O5 O 0.254 0.430 0.603
O6 O 0.259 0.990 0.224
O7 O 0.270 0.829 0.893
O8 O 0.297 0.927 0.551
O9 O 0.351 0.554 0.754
O10 O 0.411 0.665 0.406
O11 O 0.438 0.485 0.070
O12 O 0.449 0.045 0.652
O13 O 0.528 0.130 0.140
O14 O 0.596 0.349 0.574
O15 O 0.602 0.815 0.044
O16 O 0.661 0.261 0.245
O17 O 0.737 0.756 0.333
O18 O 0.740 0.314 0.901
O19 O 0.805 0.974 0.735
O20 O 0.812 0.641 0.829
O21 O 0.904 0.838 0.452
O22 O 0.922 0.497 0.539
O23 O 0.953 0.733 0.969
O24 O 0.959 0.164 0.394
```